The following is a computed powder XRD pattern of Mg6CuSb. It was derived from DFT lattice parameters and positions (PBE), using Cu Kα X-rays.

Structural model:
Cell: 4.9743 6.1493 11.2823 Å, 90.00 90.00 90.00°
Space group Amm2 (No. 38)
Symmetry-distinct sites (fractional):
Mg (0.0000, 0.0000, 0.0000) x2
Mg (0.0000, 0.2386, 0.7400) x4
Mg (0.5000, 0.0000, 0.1627) x2
Mg (0.5000, 0.2462, 0.9111) x4
Cu (0.5000, 0.0000, 0.7145) x2
Sb (0.0000, 0.0000, 0.4931) x2

Main lines, sorted by position (2θ from 15° to 90°):
16.42°, I 44.4; 23.85°, I 36.4; 24.33°, I 35.9; 33.21°, I 31.7; 36.11°, I 34.2; 37.92°, I 100.0

---

The following is a computed powder XRD pattern of Mg14CuSb. It was derived from DFT lattice parameters and positions (PBE), using Cu Kα X-rays.

Structural model:
Cell: 10.2952 6.2755 10.8698 Å, 90.00 90.00 90.00°
Space group Amm2 (No. 38)
Symmetry-distinct sites (fractional):
Mg (0.0000, 0.0000, 0.0000) x2
Mg (0.0000, 0.0000, 0.4996) x2
Mg (0.0000, 0.2495, 0.2510) x4
Mg (0.2468, 0.0000, 0.1680) x4
Mg (0.2536, 0.0000, 0.6646) x4
Mg (0.2542, 0.2445, 0.4178) x8
Mg (0.5000, 0.2503, 0.2496) x4
Cu (0.5000, 0.0000, 0.5005) x2
Sb (0.5000, 0.0000, 0.0013) x2

Main lines, sorted by position (2θ from 15° to 90°):
18.46°, I 20.9; 32.96°, I 27.7; 34.86°, I 26.5; 37.42°, I 100.0; 64.19°, I 19.1; 70.27°, I 18.7

---

The following is a computed powder XRD pattern of Mg14CuSb. It was derived from DFT lattice parameters and positions (PBE), using Cu Kα X-rays.

Structural model:
Cell: 6.2766 6.2766 10.3047 Å, 90.00 90.00 120.00°
Space group P-6m2 (No. 187)
Symmetry-distinct sites (fractional):
Mg (0.0000, 0.0000, 0.2496) x2
Mg (0.0043, 0.5021, 0.2393) x6
Mg (0.3311, 0.1656, 0.0000) x3
Mg (0.3336, 0.1668, 0.5000) x3
Cu (0.3333, 0.6667, 0.0000) x1
Sb (0.3333, 0.6667, 0.5000) x1

Main lines, sorted by position (2θ from 15° to 90°):
16.31°, I 33.3; 23.79°, I 26.1; 32.96°, I 27.8; 34.83°, I 26.2; 37.41°, I 100.0; 64.14°, I 18.5

---

The following is a computed powder XRD pattern of MgScCu3Se4. It was derived from DFT lattice parameters and positions (PBE), using Cu Kα X-rays.

Structural model:
Cell: 5.8371 5.8371 5.8371 Å, 90.00 90.00 90.00°
Space group P-43m (No. 215)
Symmetry-distinct sites (fractional):
Mg (0.0000, 0.0000, 0.0000) x1
Sc (0.5000, 0.5000, 0.5000) x1
Cu (0.0000, 0.5000, 0.5000) x3
Se (0.2519, 0.2519, 0.7481) x4

Main lines, sorted by position (2θ from 15° to 90°):
15.18°, I 17.7; 26.45°, I 100.0; 43.87°, I 96.4; 51.96°, I 44.8; 70.30°, I 17.6; 80.64°, I 30.2

---

The following is a computed powder XRD pattern of MgTlCu3Se4. It was derived from DFT lattice parameters and positions (PBE), using Cu Kα X-rays.

Structural model:
Cell: 6.0135 6.0135 6.0135 Å, 90.00 90.00 90.00°
Space group P-43m (No. 215)
Symmetry-distinct sites (fractional):
Mg (0.0000, 0.0000, 0.0000) x1
Tl (0.5000, 0.5000, 0.5000) x1
Cu (0.0000, 0.5000, 0.5000) x3
Se (0.2448, 0.2448, 0.7552) x4

Main lines, sorted by position (2θ from 15° to 90°):
20.89°, I 27.0; 25.66°, I 48.0; 33.32°, I 45.0; 42.52°, I 100.0; 45.24°, I 22.0; 77.81°, I 32.3

---

The following is a computed powder XRD pattern of MgVCu3Se4. It was derived from DFT lattice parameters and positions (PBE), using Cu Kα X-rays.

Structural model:
Cell: 5.7784 5.7784 5.7784 Å, 90.00 90.00 90.00°
Space group P-43m (No. 215)
Symmetry-distinct sites (fractional):
Mg (0.0000, 0.0000, 0.0000) x1
V (0.5000, 0.5000, 0.5000) x1
Cu (0.0000, 0.5000, 0.5000) x3
Se (0.2583, 0.2583, 0.7417) x4

Main lines, sorted by position (2θ from 15° to 90°):
15.33°, I 26.0; 26.72°, I 100.0; 44.34°, I 98.7; 52.53°, I 43.8; 71.12°, I 17.0; 81.63°, I 30.1